Diffraction record for Li3VP2O8. The powder diffractogram is simulated, not measured: it uses a structure optimized by DFT (GGA+U) and a wavelength of 1.5418 Å.
No peak broadening, texture or thermal motion is included.

Structure:
Unit cell a=4.932 b=8.866 c=7.862 alpha=90.00 beta=124.43 gamma=90.00
Sites, in units of the cell vectors:
Li 0.000 0.000 0.000
Li 0.000 0.500 0.500
Li 0.324 0.139 0.810
Li 0.324 0.361 0.310
Li 0.676 0.639 0.690
Li 0.676 0.861 0.190
V 0.500 0.000 0.500
V 0.500 0.500 0.000
P 0.192 0.681 0.220
P 0.192 0.819 0.720
P 0.808 0.181 0.280
P 0.808 0.319 0.780
O 0.147 0.134 0.478
O 0.147 0.366 0.978
O 0.174 0.644 0.745
O 0.174 0.856 0.245
O 0.255 0.598 0.408
O 0.255 0.902 0.908
O 0.474 0.644 0.192
O 0.474 0.856 0.692
O 0.526 0.144 0.308
O 0.526 0.356 0.808
O 0.745 0.098 0.092
O 0.745 0.402 0.592
O 0.826 0.144 0.755
O 0.826 0.356 0.255
O 0.853 0.634 0.022
O 0.853 0.866 0.522

Principal peaks in the range 10° ≤ 2θ ≤ 80°, by intensity:
d = 5.234 Å, intensity 100
d = 3.697 Å, intensity 82
d = 3.481 Å, intensity 72
d = 2.617 Å, intensity 66
d = 2.533 Å, intensity 58
d = 2.370 Å, intensity 48
d = 3.660 Å, intensity 48
d = 2.675 Å, intensity 31
d = 2.997 Å, intensity 27
d = 2.878 Å, intensity 27

=====

Diffraction record for LiVP3O9. The powder diffractogram is simulated, not measured: it uses a structure optimized by DFT (GGA+U) and a wavelength of 1.5418 Å.
No peak broadening, texture or thermal motion is included.

Structure:
Unit cell a=5.361 b=10.749 c=12.022 alpha=90.00 beta=90.00 gamma=90.00
Sites, in units of the cell vectors:
Li 0.110 0.112 0.087
Li 0.390 0.888 0.587
Li 0.610 0.388 0.913
Li 0.890 0.612 0.413
V 0.098 0.465 0.131
V 0.402 0.535 0.631
V 0.598 0.035 0.869
V 0.902 0.965 0.369
P 0.082 0.195 0.822
P 0.101 0.847 0.862
P 0.118 0.573 0.874
P 0.382 0.427 0.374
P 0.399 0.153 0.362
P 0.418 0.805 0.322
P 0.582 0.305 0.178
P 0.601 0.653 0.138
P 0.618 0.927 0.126
P 0.882 0.073 0.626
P 0.899 0.347 0.638
P 0.918 0.695 0.678
O 0.007 0.988 0.544
O 0.053 0.437 0.572
O 0.072 0.318 0.747
O 0.080 0.087 0.727
O 0.114 0.713 0.924
O 0.134 0.463 0.324
O 0.141 0.118 0.324
O 0.150 0.692 0.607
O 0.169 0.812 0.378
O 0.331 0.188 0.878
O 0.350 0.308 0.107
O 0.359 0.882 0.824
O 0.366 0.537 0.824
O 0.386 0.287 0.424
O 0.420 0.913 0.227
O 0.428 0.682 0.247
O 0.447 0.563 0.072
O 0.493 0.012 0.044
O 0.507 0.512 0.456
O 0.553 0.063 0.428
O 0.572 0.182 0.253
O 0.580 0.413 0.273
O 0.614 0.787 0.076
O 0.634 0.037 0.676
O 0.641 0.382 0.676
O 0.650 0.808 0.393
O 0.669 0.688 0.622
O 0.831 0.312 0.122
O 0.850 0.192 0.893
O 0.859 0.618 0.176
O 0.866 0.963 0.176
O 0.886 0.213 0.576
O 0.920 0.587 0.773
O 0.928 0.818 0.753
O 0.947 0.937 0.928
O 0.993 0.488 0.956

Principal peaks in the range 10° ≤ 2θ ≤ 80°, by intensity:
d = 4.899 Å, intensity 100
d = 5.246 Å, intensity 62
d = 3.619 Å, intensity 57
d = 3.005 Å, intensity 53
d = 2.670 Å, intensity 51
d = 2.892 Å, intensity 50
d = 3.077 Å, intensity 50
d = 4.456 Å, intensity 40
d = 2.389 Å, intensity 31
d = 6.011 Å, intensity 31